No. 1
# K3AcBr8
Calculated powder XRD pattern, Cu Kα. Input: a PBE-relaxed structure.
No peak broadening, texture or thermal motion is included.

Top 8 peaks for 2θ = 15–90°, by angle:
- 19.93 deg, d 4.454, rel. 41.7
- 32.34 deg, d 2.768, rel. 100.0
- 33.81 deg, d 2.651, rel. 44.8
- 39.58 deg, d 2.277, rel. 18.2
- 44.12 deg, d 2.053, rel. 13.0
- 48.57 deg, d 1.875, rel. 15.2
- 56.72 deg, d 1.623, rel. 18.0
- 59.56 deg, d 1.552, rel. 32.4

Cell: 9.7734 9.7734 9.7734 Å, 134.89 134.89 65.71°
Sites, in units of the cell vectors:
K: 0.0000 0.0000 0.0000
K: 0.2500 0.7500 0.5000
K: 0.7500 0.2500 0.5000
Ac: 0.5000 0.5000 0.0000
Br: 0.1454 0.1454 0.5244
Br: 0.1454 0.6211 0.0000
Br: 0.3789 0.3789 0.5244
Br: 0.3789 0.8546 0.0000
Br: 0.6211 0.1454 0.0000
Br: 0.6211 0.6211 0.4756
Br: 0.8546 0.3789 0.0000
Br: 0.8546 0.8546 0.4756

***

No. 2
# K2AcBr5
Calculated powder XRD pattern, Cu Kα. Input: a PBE-relaxed structure.
No peak broadening, texture or thermal motion is included.

Top 8 peaks for 2θ = 15–90°, by angle:
- 19.46 deg, d 4.561, rel. 41.8
- 23.63 deg, d 3.766, rel. 66.9
- 28.79 deg, d 3.101, rel. 100.0
- 30.23 deg, d 2.957, rel. 64.4
- 31.77 deg, d 2.816, rel. 60.8
- 37.58 deg, d 2.394, rel. 47.0
- 42.23 deg, d 2.140, rel. 50.4
- 45.41 deg, d 1.997, rel. 41.8

Cell: 8.7681 8.7724 9.1431 Å, 61.37 61.44 90.00°
Sites, in units of the cell vectors:
K: 0.0000 0.0000 0.0000
K: 0.4996 0.5002 0.0000
Ac: 0.1395 0.6401 0.7194
Br: 0.3043 0.3424 0.8527
Br: 0.3047 0.8052 0.8520
Br: 0.3548 0.8559 0.2870
Br: 0.8418 0.3422 0.8531
Br: 0.8419 0.8047 0.8530

***

No. 3
# KAcBr2O
Calculated powder XRD pattern, Cu Kα. Input: a PBE-relaxed structure.
No peak broadening, texture or thermal motion is included.

Top 8 peaks for 2θ = 15–90°, by angle:
- 26.72 deg, d 3.336, rel. 97.5
- 28.72 deg, d 3.108, rel. 100.0
- 30.91 deg, d 2.893, rel. 85.1
- 37.21 deg, d 2.416, rel. 34.2
- 41.08 deg, d 2.197, rel. 50.2
- 49.68 deg, d 1.835, rel. 37.5
- 52.28 deg, d 1.750, rel. 39.1
- 59.50 deg, d 1.554, rel. 23.0

Cell: 4.3952 4.3952 15.3691 Å, 90.00 90.00 90.00°
Sites, in units of the cell vectors:
K: 0.2500 0.2500 0.1029
K: 0.7500 0.7500 0.8971
Ac: 0.2500 0.2500 0.5787
Ac: 0.7500 0.7500 0.4213
Br: 0.2500 0.2500 0.3219
Br: 0.2500 0.2500 0.8800
Br: 0.7500 0.7500 0.1200
Br: 0.7500 0.7500 0.6781
O: 0.2500 0.7500 0.5000
O: 0.7500 0.2500 0.5000

***

No. 4
# Ac2LaBr2N2
Calculated powder XRD pattern, Cu Kα. Input: a PBE-relaxed structure.
No peak broadening, texture or thermal motion is included.

Top 8 peaks for 2θ = 15–90°, by angle:
- 19.37 deg, d 4.582, rel. 16.9
- 26.42 deg, d 3.374, rel. 83.2
- 33.07 deg, d 2.709, rel. 100.0
- 37.71 deg, d 2.385, rel. 38.1
- 51.01 deg, d 1.790, rel. 59.5
- 61.46 deg, d 1.509, rel. 16.4
- 62.84 deg, d 1.479, rel. 14.5
- 77.80 deg, d 1.228, rel. 17.5

Cell: 8.8917 8.8917 8.8917 Å, 148.88 148.88 44.59°
Sites, in units of the cell vectors:
Ac: 0.0996 0.0996 0.0000
Ac: 0.9004 0.9004 0.0000
La: 0.5000 0.5000 0.0000
Br: 0.3077 0.3077 0.0000
Br: 0.6923 0.6923 0.0000
N: 0.0000 0.5000 0.5000
N: 0.5000 0.0000 0.5000

***

What did the first record say?
# K3AcBr8
Calculated powder XRD pattern, Cu Kα. Input: a PBE-relaxed structure.
No peak broadening, texture or thermal motion is included.

Top 8 peaks for 2θ = 15–90°, by angle:
- 19.93 deg, d 4.454, rel. 41.7
- 32.34 deg, d 2.768, rel. 100.0
- 33.81 deg, d 2.651, rel. 44.8
- 39.58 deg, d 2.277, rel. 18.2
- 44.12 deg, d 2.053, rel. 13.0
- 48.57 deg, d 1.875, rel. 15.2
- 56.72 deg, d 1.623, rel. 18.0
- 59.56 deg, d 1.552, rel. 32.4

Cell: 9.7734 9.7734 9.7734 Å, 134.89 134.89 65.71°
Sites, in units of the cell vectors:
K: 0.0000 0.0000 0.0000
K: 0.2500 0.7500 0.5000
K: 0.7500 0.2500 0.5000
Ac: 0.5000 0.5000 0.0000
Br: 0.1454 0.1454 0.5244
Br: 0.1454 0.6211 0.0000
Br: 0.3789 0.3789 0.5244
Br: 0.3789 0.8546 0.0000
Br: 0.6211 0.1454 0.0000
Br: 0.6211 0.6211 0.4756
Br: 0.8546 0.3789 0.0000
Br: 0.8546 0.8546 0.4756

***

- Number 4 is which compound?
  Ac2LaBr2N2